The following is a simulated powder diffractogram of BaAlSn. It was derived from a structure optimized by DFT (PBE), using Cu Kα (weighted mean of Kα1 and Kα2).
Neutral-atom scattering factors, no anomalous dispersion.

Most intense lines, 15 to 90 degrees two-theta, in order of rising 2θ:
- d = 4.312 Å, 2θ = 20.6°, intensity 22
- d = 3.750 Å, 2θ = 23.7°, intensity 41
- d = 3.167 Å, 2θ = 28.2°, intensity 100
- d = 3.131 Å, 2θ = 28.5°, intensity 26
- d = 2.927 Å, 2θ = 30.5°, intensity 88
- d = 2.741 Å, 2θ = 32.7°, intensity 54
- d = 2.614 Å, 2θ = 34.3°, intensity 21
- d = 2.325 Å, 2θ = 38.7°, intensity 30
- d = 1.875 Å, 2θ = 48.6°, intensity 21
- d = 1.722 Å, 2θ = 53.2°, intensity 30

Structural model:
a = 8.113 Å, b = 4.649 Å, c = 10.180 Å
α = 90.00°, β = 90.00°, γ = 90.00°
Space group Pnma (No. 62)
One atom of each set of equivalent atoms:
Ba (0.010, 0.250, 0.194) x4
Al (0.139, 0.250, 0.566) x4
Sn (0.213, 0.750, 0.423) x4